Calculated powder diffractogram
Compound: RbGe2WO8
Radiation: Cu Kα
Structure: a structure optimized by DFT (PBE+U)
Lines closer than 0.1° are merged.

Most intense lines, 2θ from 15° to 90°, in order of rising 2θ:
| two_theta | d [Å] | I/Imax | (hkl) |
| --- | --- | --- | --- |
| 18.8 | 4.721 | 24.9 | 1 1 0 |
| 20.5 | 4.342 | 77.4 | 2 0 0 |
| 20.6 | 4.302 | 54.1 | 1 1 -1 |
| 25.7 | 3.461 | 23.9 | 2 0 1 |
| 27.6 | 3.232 | 100.0 | 1 1 -2 |
| 31.5 | 2.839 | 45.5 | 1 1 2 |
| 31.8 | 2.812 | 36.3 | 0 2 0 |
| 34.3 | 2.616 | 21.1 | 3 1 -1 |
| 34.9 | 2.574 | 34.1 | 3 1 0 |
| 57.0 | 1.616 | 19.3 | 2 2 -4 |

Cell and atoms:
```
data_RbGe2WO8
_chemical_formula_sum 'Rb2 Ge4 W2 O16'
_space_group_name_H-M_alt 'C 1 2/m 1'
_space_group_IT_number 12
_cell_length_a 8.9480
_cell_length_b 5.6246
_cell_length_c 8.0818
_cell_angle_alpha 90.00
_cell_angle_beta 103.97
_cell_angle_gamma 90.00
loop_
_space_group_symop_operation_xyz
'x,y,z'
'-x,-y,-z'
'-x,y,-z'
'x,-y,z'
'x+1/2,y+1/2,z'
'-x+1/2,-y+1/2,-z'
'-x+1/2,y+1/2,-z'
'x+1/2,-y+1/2,z'
loop_
_atom_site_label
_atom_site_type_symbol
_atom_site_fract_x
_atom_site_fract_y
_atom_site_fract_z
Rb1 Rb 0.0000 0.0000 0.0000
Ge1 Ge 0.1002 0.5000 0.2840
W1 W 0.0000 0.0000 0.5000
O1 O 0.0001 0.2433 0.3277
O2 O 0.1266 0.5000 0.0769
O3 O 0.2201 0.0000 0.5631
```